[1]
# Ba3Ta2S8
Calculated X-ray diffraction stick pattern, Cu Kα X-rays. Input: DFT lattice parameters and positions (PBE).
Peak positions follow from Bragg's law for the DFT cell and can differ from measured ones.

The 10 most intense peaks (2θ = 15–90°), by angle:
2θ 15.47, d 5.730, rel. 291; 2θ 20.08, d 4.423, rel. 247; 2θ 25.67, d 3.470, rel. 553; 2θ 25.92, d 3.437, rel. 1000; 2θ 29.67, d 3.011, rel. 286; 2θ 33.75, d 2.656, rel. 318; 2θ 34.02, d 2.635, rel. 396; 2θ 34.16, d 2.625, rel. 386; 2θ 52.74, d 1.736, rel. 245; 2θ 53.31, d 1.718, rel. 275

Crystal structure
a b c (Å): 12.156 6.939 12.749
angles (deg): 90.00 109.19 90.00
Positions (direct):
Ba 0.000 0.000 0.000
Ba 0.095 0.000 0.365
Ba 0.222 0.500 0.656
Ba 0.317 0.500 0.036
Ba 0.453 0.000 0.309
Ba 0.547 0.000 0.691
Ba 0.683 0.500 0.964
Ba 0.778 0.500 0.344
Ba 0.905 0.000 0.635
Ta 0.230 0.000 0.828
Ta 0.234 0.500 0.324
Ta 0.500 0.000 0.000
Ta 0.500 0.500 0.500
Ta 0.766 0.500 0.676
Ta 0.770 0.000 0.172
S 0.080 0.500 0.396
S 0.117 0.256 0.847
S 0.117 0.744 0.847
S 0.175 0.000 0.632
S 0.187 0.248 0.199
S 0.187 0.752 0.199
S 0.322 0.000 0.046
S 0.348 0.255 0.484
S 0.348 0.745 0.484
S 0.408 0.241 0.855
S 0.408 0.759 0.855
S 0.443 0.500 0.299
S 0.557 0.500 0.701
S 0.592 0.241 0.145
S 0.592 0.759 0.145
S 0.652 0.255 0.516
S 0.652 0.745 0.516
S 0.678 0.000 0.954
S 0.813 0.248 0.801
S 0.813 0.752 0.801
S 0.825 0.000 0.368
S 0.883 0.256 0.153
S 0.883 0.744 0.153
S 0.920 0.500 0.604



[2]
# BaTb2S4
Calculated X-ray diffraction stick pattern, Cu Kα X-rays. Input: DFT lattice parameters and positions (PBE).
Peak positions follow from Bragg's law for the DFT cell and can differ from measured ones.

The 10 most intense peaks (2θ = 15–90°), by angle:
2θ 24.33, d 3.659, rel. 444; 2θ 24.80, d 3.590, rel. 1000; 2θ 26.00, d 3.426, rel. 695; 2θ 26.15, d 3.407, rel. 344; 2θ 29.42, d 3.036, rel. 316; 2θ 31.43, d 2.846, rel. 250; 2θ 36.02, d 2.493, rel. 523; 2θ 36.46, d 2.464, rel. 279; 2θ 44.34, d 2.043, rel. 533; 2θ 51.48, d 1.775, rel. 283

Crystal structure
a b c (Å): 12.360 4.084 14.635
angles (deg): 90.00 90.00 90.00
Positions (direct):
Ba 0.243 0.250 0.161
Ba 0.257 0.750 0.661
Ba 0.743 0.250 0.339
Ba 0.757 0.750 0.839
Tb 0.068 0.250 0.391
Tb 0.079 0.250 0.898
Tb 0.421 0.750 0.398
Tb 0.432 0.750 0.891
Tb 0.568 0.250 0.109
Tb 0.579 0.250 0.602
Tb 0.921 0.750 0.102
Tb 0.932 0.750 0.609
S 0.023 0.750 0.783
S 0.080 0.250 0.577
S 0.124 0.750 0.023
S 0.207 0.750 0.335
S 0.293 0.250 0.835
S 0.376 0.250 0.523
S 0.420 0.750 0.077
S 0.477 0.250 0.283
S 0.523 0.750 0.717
S 0.580 0.250 0.923
S 0.624 0.750 0.477
S 0.707 0.750 0.165
S 0.793 0.250 0.665
S 0.876 0.250 0.977
S 0.920 0.750 0.423
S 0.977 0.250 0.217



[3]
# Ba3TiS5
Calculated X-ray diffraction stick pattern, Cu Kα X-rays. Input: DFT lattice parameters and positions (PBE).
Peak positions follow from Bragg's law for the DFT cell and can differ from measured ones.

The 10 most intense peaks (2θ = 15–90°), by angle:
2θ 24.11, d 3.692, rel. 372; 2θ 24.40, d 3.648, rel. 619; 2θ 25.53, d 3.489, rel. 294; 2θ 29.52, d 3.026, rel. 277; 2θ 30.24, d 2.956, rel. 1000; 2θ 33.10, d 2.707, rel. 533; 2θ 39.42, d 2.286, rel. 181; 2θ 39.98, d 2.255, rel. 191; 2θ 42.26, d 2.139, rel. 174; 2θ 44.30, d 2.045, rel. 302

Crystal structure
a b c (Å): 9.237 9.237 9.237
angles (deg): 124.79 124.79 81.88
Positions (direct):
Ba 0.163 0.663 0.827
Ba 0.250 0.250 0.000
Ba 0.337 0.163 0.500
Ba 0.663 0.837 0.500
Ba 0.750 0.750 0.000
Ba 0.837 0.337 0.173
Ti 0.250 0.750 0.500
Ti 0.750 0.250 0.500
S 0.000 0.000 0.000
S 0.004 0.800 0.500
S 0.200 0.700 0.204
S 0.300 0.504 0.500
S 0.496 0.996 0.796
S 0.500 0.500 0.000
S 0.504 0.004 0.204
S 0.700 0.496 0.500
S 0.800 0.300 0.796
S 0.996 0.200 0.500



[4]
# BaTm2S4
Calculated X-ray diffraction stick pattern, Cu Kα X-rays. Input: DFT lattice parameters and positions (PBE).
Peak positions follow from Bragg's law for the DFT cell and can differ from measured ones.

The 10 most intense peaks (2θ = 15–90°), by angle:
2θ 24.72, d 3.601, rel. 451; 2θ 25.05, d 3.554, rel. 1000; 2θ 26.47, d 3.367, rel. 728; 2θ 26.58, d 3.354, rel. 348; 2θ 29.94, d 2.984, rel. 283; 2θ 36.60, d 2.455, rel. 493; 2θ 36.92, d 2.435, rel. 284; 2θ 44.94, d 2.017, rel. 278; 2θ 45.26, d 2.004, rel. 249; 2θ 52.42, d 1.745, rel. 277

Crystal structure
a b c (Å): 12.260 4.007 14.404
angles (deg): 90.00 90.00 90.00
Positions (direct):
Ba 0.243 0.250 0.161
Ba 0.257 0.750 0.661
Ba 0.743 0.250 0.339
Ba 0.757 0.750 0.839
Tm 0.066 0.250 0.391
Tm 0.078 0.250 0.899
Tm 0.422 0.750 0.399
Tm 0.434 0.750 0.891
Tm 0.566 0.250 0.109
Tm 0.578 0.250 0.601
Tm 0.922 0.750 0.101
Tm 0.934 0.750 0.609
S 0.023 0.750 0.783
S 0.080 0.250 0.576
S 0.122 0.750 0.023
S 0.207 0.750 0.340
S 0.293 0.250 0.840
S 0.378 0.250 0.523
S 0.420 0.750 0.076
S 0.477 0.250 0.283
S 0.523 0.750 0.717
S 0.580 0.250 0.924
S 0.622 0.750 0.477
S 0.707 0.750 0.160
S 0.793 0.250 0.660
S 0.878 0.250 0.977
S 0.920 0.750 0.424
S 0.977 0.250 0.217